[1]
Diffraction record for Er2P7Ru12. The powder XRD pattern is simulated, not measured: it uses a cell relaxed with PBE and λ = 1.5418 Å (Cu Kα).
Intensities are scaled so that the largest is 100.

Atomic structure:
```
data_Er2P7Ru12
_chemical_formula_sum 'Er2 P7 Ru12'
_space_group_name_H-M_alt 'P -6'
_space_group_IT_number 174
_cell_length_a 9.4030
_cell_length_b 9.4030
_cell_length_c 3.9434
_cell_angle_alpha 90.00
_cell_angle_beta 90.00
_cell_angle_gamma 120.00
loop_
_space_group_symop_operation_xyz
'x,y,z'
'-x+y,-x,-z'
'-y,x-y,z'
'x,y,-z'
'-x+y,-x,z'
'-y,x-y,-z'
loop_
_atom_site_label
_atom_site_fract_x
_atom_site_fract_y
_atom_site_fract_z
Er1 0.0000 0.0000 0.0000
Er2 0.3333 0.6667 0.5000
P1 0.0916 0.4487 0.0000
P2 0.2666 0.2160 0.5000
P3 0.6667 0.3333 0.0000
Ru1 0.0589 0.2817 0.5000
Ru2 0.0923 0.6922 0.0000
Ru3 0.3942 0.1697 0.0000
Ru4 0.5446 0.4197 0.5000
```

Peak list (12 most intense, 10 to 80 degrees two-theta, by angle)
2theta  intensity  index
29.01  13.5  2 1 0
37.05  100.0  2 1 1
39.92  8.0  3 1 0
40.34  7.6  3 0 1
44.50  9.4  4 0 0
46.03  19.0  0 0 2
46.33  10.1  1 3 1
51.42  16.3  1 4 0
54.34  6.6  3 2 1
65.06  8.3  4 2 1
71.47  11.9  1 4 2
79.25  10.7  2 1 3



[2]
Diffraction record for Er4P3S. The powder XRD pattern is simulated, not measured: it uses a cell relaxed with PBE and λ = 1.5418 Å (Cu Kα).
Intensities are scaled so that the largest is 100.

Atomic structure:
```
data_Er4P3S
_chemical_formula_sum 'Er4 P3 S1'
_space_group_name_H-M_alt 'P m -3 m'
_space_group_IT_number 221
_space_group_name_Hall '-P 4 2 3'
_cell_length_a 5.576
_cell_length_b 5.576
_cell_length_c 5.576
_cell_angle_alpha 90.00
_cell_angle_beta 90.00
_cell_angle_gamma 90.00
loop_
_atom_site_label
_atom_site_fract_x
_atom_site_fract_y
_atom_site_fract_z
Er1 0.000 0.000 0.000
Er2 0.000 0.500 0.500
P1 0.000 0.000 0.500
S1 0.500 0.500 0.500
```

Peak list (8 most intense, 10 to 80 degrees two-theta, by angle)
2theta  intensity  index
27.71  88.4  1 1 1
32.11  100.0  2 0 0
46.04  72.7  2 2 0
54.59  42.9  3 1 1
57.23  25.3  2 2 2
67.15  11.7  4 0 0
74.12  17.3  3 3 1
76.39  32.7  4 2 0



[3]
Diffraction record for Er3PSeS. The powder XRD pattern is simulated, not measured: it uses a cell relaxed with PBE and λ = 1.5418 Å (Cu Kα).
Intensities are scaled so that the largest is 100.

Atomic structure:
```
data_Er3PSeS
_chemical_formula_sum 'Er12 P4 Se4 S4'
_space_group_name_H-M_alt 'C 1 2/c 1'
_space_group_IT_number 15
_cell_length_a 6.637
_cell_length_b 13.961
_cell_length_c 6.580
_cell_angle_alpha 90.00
_cell_angle_beta 108.86
_cell_angle_gamma 90.00
loop_
_space_group_symop_operation_xyz
'x,y,z'
'-x,-y,-z'
'-x,y,-z+1/2'
'x,-y,z+1/2'
'x+1/2,y+1/2,z'
'-x+1/2,-y+1/2,-z'
'-x+1/2,y+1/2,-z+1/2'
'x+1/2,-y+1/2,z+1/2'
loop_
_atom_site_label
_atom_site_fract_x
_atom_site_fract_y
_atom_site_fract_z
Er1 0.000 0.249 0.250
Er2 0.245 0.427 0.999
P1 0.000 0.436 0.250
Se1 0.000 0.250 0.750
S1 0.000 0.059 0.250
```

Peak list (12 most intense, 10 to 80 degrees two-theta, by angle)
2theta  intensity  index
24.01  62.0  1 1 1
25.31  100.0  1 3 -1
30.15  47.7  1 3 1
31.23  78.6  2 2 0
31.46  77.3  0 2 2
33.34  84.2  2 0 -2
38.56  29.9  2 4 0
38.72  77.6  0 6 0
39.90  39.4  1 5 1
47.29  31.3  2 0 2
51.98  40.8  2 6 -2
62.69  23.6  2 6 2



[4]
Diffraction record for Er3Sb2P. The powder XRD pattern is simulated, not measured: it uses a cell relaxed with PBE and λ = 1.5418 Å (Cu Kα).
Intensities are scaled so that the largest is 100.

Atomic structure:
```
data_Er3Sb2P
_chemical_formula_sum 'Er12 Sb8 P4'
_space_group_name_H-M_alt 'C 1 2/c 1'
_space_group_IT_number 15
_cell_length_a 7.388
_cell_length_b 12.665
_cell_length_c 7.264
_cell_angle_alpha 90.00
_cell_angle_beta 109.27
_cell_angle_gamma 90.00
loop_
_space_group_symop_operation_xyz
'x,y,z'
'-x,-y,-z'
'-x,y,-z+1/2'
'x,-y,z+1/2'
'x+1/2,y+1/2,z'
'-x+1/2,-y+1/2,-z'
'-x+1/2,y+1/2,-z+1/2'
'x+1/2,-y+1/2,z+1/2'
loop_
_atom_site_label
_atom_site_fract_x
_atom_site_fract_y
_atom_site_fract_z
Er1 0.223 0.076 0.497
Er2 0.250 0.250 0.000
Sb1 0.000 0.257 0.250
Sb2 0.000 0.418 0.750
P1 0.000 0.085 0.750
```

Peak list (12 most intense, 10 to 80 degrees two-theta, by angle)
2theta  intensity  index
25.85  10.1  1 3 -1
29.88  100.0  1 3 1
42.50  23.5  3 3 -1
42.65  12.2  2 0 2
42.84  12.3  0 6 0
43.07  24.9  1 3 -3
52.48  5.8  4 0 0
53.13  12.7  2 6 -2
53.46  7.3  0 0 4
62.05  7.7  2 6 2
70.02  9.3  4 6 0
70.85  10.8  0 6 4



[5]
Diffraction record for ErScPSe. The powder XRD pattern is simulated, not measured: it uses a cell relaxed with PBE and λ = 1.5418 Å (Cu Kα).
Intensities are scaled so that the largest is 100.

Atomic structure:
```
data_ErScPSe
_chemical_formula_sum 'Er3 Sc3 P3 Se3'
_space_group_name_H-M_alt 'R 3 m'
_space_group_IT_number 160
_space_group_name_Hall 'R 3 -2"'
_cell_length_a 3.8370
_cell_length_b 3.8370
_cell_length_c 20.1328
_cell_angle_alpha 90.00
_cell_angle_beta 90.00
_cell_angle_gamma 120.00
loop_
_atom_site_label
_atom_site_fract_x
_atom_site_fract_y
_atom_site_fract_z
Er1 0.0000 0.0000 0.0000
Sc1 0.0000 0.0000 0.1852
P1 0.0000 0.0000 0.5863
Se1 0.0000 0.0000 0.7634
```

Peak list (12 most intense, 10 to 80 degrees two-theta, by angle)
2theta  intensity  index
13.19  46.4  0 0 3
27.20  69.6  1 0 1
28.28  15.2  0 1 2
32.28  74.0  1 0 4
35.01  100.0  0 1 5
41.53  25.6  1 0 7
45.20  18.5  0 1 8
47.39  52.5  1 1 0
53.19  14.0  1 0 10
60.26  20.0  2 0 5
63.93  17.9  1 1 9
75.24  19.1  1 1 12



[6]
Diffraction record for ErTl2P2Se7. The powder XRD pattern is simulated, not measured: it uses a cell relaxed with PBE and λ = 1.5418 Å (Cu Kα).
Intensities are scaled so that the largest is 100.

Atomic structure:
```
data_ErTl2P2Se7
_chemical_formula_sum 'Er8 Tl16 P16 Se56'
_space_group_name_H-M_alt 'C 1 2/c 1'
_space_group_IT_number 15
_cell_length_a 24.113
_cell_length_b 7.041
_cell_length_c 19.685
_cell_angle_alpha 90.00
_cell_angle_beta 119.35
_cell_angle_gamma 90.00
loop_
_space_group_symop_operation_xyz
'x,y,z'
'-x,-y,-z'
'-x,y,-z+1/2'
'x,-y,z+1/2'
'x+1/2,y+1/2,z'
'-x+1/2,-y+1/2,-z'
'-x+1/2,y+1/2,-z+1/2'
'x+1/2,-y+1/2,z+1/2'
loop_
_atom_site_label
_atom_site_fract_x
_atom_site_fract_y
_atom_site_fract_z
Er1 0.161 0.082 0.239
Tl1 0.002 0.438 0.867
Tl2 0.171 0.017 0.022
P1 0.048 0.062 0.306
P2 0.169 0.460 0.642
Se1 0.025 0.059 0.401
Se2 0.098 0.320 0.300
Se3 0.102 0.184 0.801
Se4 0.102 0.297 0.091
Se5 0.108 0.200 0.612
Se6 0.224 0.473 0.270
Se7 0.239 0.439 0.600
```

Peak list (12 most intense, 10 to 80 degrees two-theta, by angle)
2theta  intensity  index
17.86  100.0  3 1 0
22.83  30.3  1 1 -4
25.30  31.8  0 2 0
26.00  81.0  2 0 4
29.52  92.9  7 1 -4
29.94  60.5  8 0 -4
30.60  53.3  4 2 0
31.29  33.6  2 2 -4
31.98  69.8  4 2 -4
34.44  46.4  2 2 -5
36.17  42.3  6 2 0
40.70  39.1  9 1 0



[7]
Diffraction record for SmEr5P6. The powder XRD pattern is simulated, not measured: it uses a cell relaxed with PBE and λ = 1.5418 Å (Cu Kα).
Intensities are scaled so that the largest is 100.

Atomic structure:
```
data_SmEr5P6
_chemical_formula_sum 'Sm2 Er10 P12'
_space_group_name_H-M_alt 'C 1 2/m 1'
_space_group_IT_number 12
_cell_length_a 6.918
_cell_length_b 11.978
_cell_length_c 6.915
_cell_angle_alpha 90.00
_cell_angle_beta 109.49
_cell_angle_gamma 90.00
loop_
_space_group_symop_operation_xyz
'x,y,z'
'-x,-y,-z'
'-x,y,-z'
'x,-y,z'
'x+1/2,y+1/2,z'
'-x+1/2,-y+1/2,-z'
'-x+1/2,y+1/2,-z'
'x+1/2,-y+1/2,z'
loop_
_atom_site_label
_atom_site_fract_x
_atom_site_fract_y
_atom_site_fract_z
Sm1 0.000 0.000 0.000
Er1 0.000 0.166 0.500
Er2 0.000 0.333 0.000
Er3 0.000 0.500 0.500
P1 0.246 0.500 0.252
P2 0.247 0.331 0.747
```

Peak list (8 most intense, 10 to 80 degrees two-theta, by angle)
2theta  intensity  index
27.36  88.5  2 0 0
31.69  100.0  1 3 1
45.43  73.0  2 0 2
53.85  43.1  3 3 1
56.45  25.5  4 0 0
66.20  11.8  2 6 2
73.04  17.4  4 0 2
75.26  32.8  4 6 0



[8]
Diffraction record for Sm3ErP4. The powder XRD pattern is simulated, not measured: it uses a cell relaxed with PBE and λ = 1.5418 Å (Cu Kα).
Intensities are scaled so that the largest is 100.

Atomic structure:
```
data_Sm3ErP4
_chemical_formula_sum 'Sm6 Er2 P8'
_space_group_name_H-M_alt 'P 1 2/c 1'
_space_group_IT_number 13
_cell_length_a 7.054
_cell_length_b 8.154
_cell_length_c 7.055
_cell_angle_alpha 90.00
_cell_angle_beta 109.51
_cell_angle_gamma 90.00
loop_
_space_group_symop_operation_xyz
'x,y,z'
'-x,-y,-z'
'-x,y,-z+1/2'
'x,-y,z+1/2'
loop_
_atom_site_label
_atom_site_fract_x
_atom_site_fract_y
_atom_site_fract_z
Sm1 0.000 0.124 0.250
Sm2 0.000 0.374 0.750
Sm3 0.500 0.374 0.250
Er1 0.500 0.124 0.750
P1 0.253 0.372 0.503
P2 0.256 0.122 0.000
```

Peak list (10 most intense, 10 to 80 degrees two-theta, by angle)
2theta  intensity  index
26.80  84.1  2 0 0
31.04  100.0  1 2 1
44.48  73.2  2 0 2
52.69  41.4  3 2 1
55.23  25.6  4 0 0
64.72  11.9  2 4 2
71.35  13.9  5 2 -1
71.42  2.8  4 0 2
73.50  27.4  4 4 0
73.56  5.5  3 2 3



[9]
Diffraction record for SmEr2ThP4. The powder XRD pattern is simulated, not measured: it uses a cell relaxed with PBE and λ = 1.5418 Å (Cu Kα).
Intensities are scaled so that the largest is 100.

Atomic structure:
```
data_SmEr2ThP4
_chemical_formula_sum 'Sm1 Er2 Th1 P4'
_space_group_name_H-M_alt 'P 1 2/m 1'
_space_group_IT_number 10
_cell_length_a 6.992
_cell_length_b 4.056
_cell_length_c 7.016
_cell_angle_alpha 90.00
_cell_angle_beta 109.50
_cell_angle_gamma 90.00
loop_
_space_group_symop_operation_xyz
'x,y,z'
'-x,-y,-z'
'-x,y,-z'
'x,-y,z'
loop_
_atom_site_label
_atom_site_fract_x
_atom_site_fract_y
_atom_site_fract_z
Sm1 0.000 0.000 0.000
Er1 0.500 0.000 0.500
Er2 0.500 0.500 0.000
Th1 0.000 0.500 0.500
P1 0.258 0.500 0.253
P2 0.259 0.000 0.753
```

Peak list (12 most intense, 10 to 80 degrees two-theta, by angle)
2theta  intensity  index
26.95  70.3  0 0 2
27.06  23.3  2 0 0
31.25  100.0  1 1 1
44.71  37.1  0 2 0
44.85  36.7  2 0 2
53.01  27.1  2 2 0
53.11  15.5  3 1 1
55.56  19.5  0 0 4
65.19  12.1  2 2 2
71.78  9.5  2 2 -4
73.94  11.2  1 3 1
74.17  16.6  4 2 0



[10]
Diffraction record for Tb3ErP4. The powder XRD pattern is simulated, not measured: it uses a cell relaxed with PBE and λ = 1.5418 Å (Cu Kα).
Intensities are scaled so that the largest is 100.

Atomic structure:
```
data_Tb3ErP4
_chemical_formula_sum 'Tb6 Er2 P8'
_space_group_name_H-M_alt 'C m m m'
_space_group_IT_number 65
_space_group_name_Hall '-C 2 2'
_cell_length_a 8.025
_cell_length_b 11.349
_cell_length_c 4.015
_cell_angle_alpha 90.00
_cell_angle_beta 90.00
_cell_angle_gamma 90.00
loop_
_atom_site_label
_atom_site_fract_x
_atom_site_fract_y
_atom_site_fract_z
Tb1 0.000 0.000 0.000
Tb2 0.250 0.250 0.500
Er1 0.000 0.500 0.000
P1 0.000 0.251 0.000
P2 0.248 0.500 0.500
```

Peak list (8 most intense, 10 to 80 degrees two-theta, by angle)
2theta  intensity  index
27.21  87.0  2 2 0
31.53  100.0  2 0 1
45.18  73.1  4 0 0
53.55  42.4  4 2 1
56.14  25.5  4 4 0
65.82  11.8  4 0 2
72.61  17.1  6 2 0
74.81  32.8  6 0 1



[11]
Diffraction record for TbEr5P6. The powder XRD pattern is simulated, not measured: it uses a cell relaxed with PBE and λ = 1.5418 Å (Cu Kα).
Intensities are scaled so that the largest is 100.

Atomic structure:
```
data_TbEr5P6
_chemical_formula_sum 'Tb2 Er10 P12'
_space_group_name_H-M_alt 'C 1 2/m 1'
_space_group_IT_number 12
_cell_length_a 6.894
_cell_length_b 11.936
_cell_length_c 6.891
_cell_angle_alpha 90.00
_cell_angle_beta 109.48
_cell_angle_gamma 90.00
loop_
_space_group_symop_operation_xyz
'x,y,z'
'-x,-y,-z'
'-x,y,-z'
'x,-y,z'
'x+1/2,y+1/2,z'
'-x+1/2,-y+1/2,-z'
'-x+1/2,y+1/2,-z'
'x+1/2,-y+1/2,z'
loop_
_atom_site_label
_atom_site_fract_x
_atom_site_fract_y
_atom_site_fract_z
Tb1 0.000 0.000 0.000
Er1 0.000 0.166 0.500
Er2 0.000 0.333 0.000
Er3 0.000 0.500 0.500
P1 0.248 0.500 0.251
P2 0.249 0.332 0.749
```

Peak list (8 most intense, 10 to 80 degrees two-theta, by angle)
2theta  intensity  index
27.45  89.1  2 0 0
31.80  100.0  1 3 1
45.59  73.0  2 0 2
54.05  43.3  3 3 1
56.66  25.5  4 0 0
66.46  11.8  2 6 2
73.33  17.5  4 0 2
75.56  32.9  4 6 0



[12]
Diffraction record for Er3Te2P. The powder XRD pattern is simulated, not measured: it uses a cell relaxed with PBE and λ = 1.5418 Å (Cu Kα).
Intensities are scaled so that the largest is 100.

Atomic structure:
```
data_Er3Te2P
_chemical_formula_sum 'Er12 Te8 P4'
_space_group_name_H-M_alt 'C 1 2/c 1'
_space_group_IT_number 15
_cell_length_a 7.450
_cell_length_b 12.557
_cell_length_c 7.175
_cell_angle_alpha 90.00
_cell_angle_beta 109.73
_cell_angle_gamma 90.00
loop_
_space_group_symop_operation_xyz
'x,y,z'
'-x,-y,-z'
'-x,y,-z+1/2'
'x,-y,z+1/2'
'x+1/2,y+1/2,z'
'-x+1/2,-y+1/2,-z'
'-x+1/2,y+1/2,-z+1/2'
'x+1/2,-y+1/2,z+1/2'
loop_
_atom_site_label
_atom_site_fract_x
_atom_site_fract_y
_atom_site_fract_z
Er1 0.202 0.070 0.492
Er2 0.250 0.250 0.000
Te1 0.000 0.263 0.250
Te2 0.000 0.421 0.750
P1 0.000 0.092 0.750
```

Peak list (12 most intense, 10 to 80 degrees two-theta, by angle)
2theta  intensity  index
25.99  10.3  1 3 -1
29.90  49.3  2 0 -2
30.12  100.0  1 3 1
37.76  8.7  2 4 -1
39.20  9.7  3 1 0
42.32  30.4  3 3 -1
43.00  16.5  2 0 2
43.23  17.3  0 6 0
43.59  37.4  1 3 -3
53.45  16.7  2 6 -2
54.33  10.7  0 0 4
62.62  9.4  2 6 2